Starting from a cell relaxed with PBE, the powder diffraction line list of SrYGa was simulated for Cu Kα (λ = 1.5418 Å).
Intensities are scaled so that the largest is 100.

The 8 most intense peaks (2θ = 10–90°), in order of rising 2θ:
2θ (°), d [Å], Rel. int.
26.41, 3.375, 34.9
29.16, 3.063, 100.0
30.92, 2.892, 86.7
31.33, 2.855, 38.0
32.27, 2.774, 47.0
34.90, 2.571, 35.8
35.21, 2.549, 78.1
36.78, 2.443, 69.1

Structure:
Lattice parameters (Å, degrees): 5.9398 5.9398 7.1761 119.89 119.89 69.25
Atoms (fractional coordinates):
Sr: 0.1944 0.1944 0.0276
Sr: 0.8056 0.8056 0.9724
Y: 0.3287 0.3287 0.6290
Y: 0.6713 0.6713 0.3710
Ga: 0.2067 0.7933 0.5000
Ga: 0.7933 0.2067 0.5000